ZrNF5: theoretical XRD peak list (Cu Kα (λ = 1.5418 Å)), based on a PBE-relaxed structure.
Peak positions follow from Bragg's law for the DFT cell and can differ from measured ones.

Cell and atoms:
```
28
Lattice="8.092 0.000 0.000 0.000 8.517 0.000 -4.327 0.000 7.347" Properties=species:S:1:pos:R:3 pbc="T T T"
Zr -1.061 2.042 1.811
Zr -3.225 2.217 5.484
Zr 6.989 6.301 1.863
Zr 4.826 6.475 5.537
N 2.897 0.076 1.768
N 0.733 4.182 5.442
N 3.032 4.335 1.905
N 0.868 8.441 5.579
F -0.016 2.110 0.034
F -2.179 2.149 3.708
F -3.231 4.292 5.504
F -1.068 8.484 1.830
F -1.479 6.270 6.276
F 0.685 6.506 2.603
F -1.711 2.004 6.686
F 0.452 2.255 3.012
F -0.234 8.517 4.808
F 1.930 4.259 1.134
F 3.998 0.001 2.539
F 1.835 4.258 6.213
F 3.312 6.262 4.335
F 5.476 6.514 0.661
F 3.080 2.011 4.744
F 5.243 2.248 1.071
F 4.832 0.033 5.517
F 6.996 4.225 1.843
F 5.944 6.368 3.639
F 3.780 6.408 7.313
```

Largest 12 diffraction maxima, by angle, 2θ = 10–90°:
- 12.70°, 6.972 Å, I 100.0
- 20.85°, 4.260 Å, I 55.7
- 24.23°, 3.674 Å, I 26.0
- 24.49°, 3.634 Å, I 48.2
- 24.73°, 3.601 Å, I 23.5
- 25.55°, 3.486 Å, I 16.8
- 29.65°, 3.013 Å, I 37.2
- 38.75°, 2.324 Å, I 14.5
- 42.43°, 2.130 Å, I 33.1
- 44.45°, 2.038 Å, I 16.3
- 47.73°, 1.905 Å, I 10.4
- 49.89°, 1.828 Å, I 9.6